Starting from a GGA+U-relaxed structure, the powder XRD pattern of KCrIO6 was computed for CuKα.
Kinematic intensities with the Lorentz-polarization factor, no thermal factor.

Cell and atoms:
a = 9.3685 Å, b = 4.8722 Å, c = 14.3075 Å
α = 90.00°, β = 107.52°, γ = 90.00°
Fractional coordinates of all 36 atoms:
K (0.1002, 0.0894, 0.1644)
K (0.1002, 0.4106, 0.6644)
K (0.8998, 0.5894, 0.3356)
K (0.8998, 0.9106, 0.8356)
Cr (0.2234, 0.5372, 0.9715)
Cr (0.2234, 0.9628, 0.4715)
Cr (0.7766, 0.0372, 0.5285)
Cr (0.7766, 0.4628, 0.0285)
I (0.4293, 0.6676, 0.3360)
I (0.4293, 0.8324, 0.8360)
I (0.5707, 0.1676, 0.1640)
I (0.5707, 0.3324, 0.6640)
O (0.1210, 0.0819, 0.3662)
O (0.1210, 0.4181, 0.8662)
O (0.1233, 0.7502, 0.0129)
O (0.1233, 0.7498, 0.5129)
O (0.2431, 0.5830, 0.2621)
O (0.2431, 0.9170, 0.7621)
O (0.2876, 0.2103, 0.5508)
O (0.2876, 0.2897, 0.0508)
O (0.3829, 0.7220, 0.9544)
O (0.3829, 0.7780, 0.4544)
O (0.4437, 0.0114, 0.2873)
O (0.4437, 0.4886, 0.7873)
O (0.5563, 0.5114, 0.2127)
O (0.5563, 0.9886, 0.7127)
O (0.6171, 0.2220, 0.5456)
O (0.6171, 0.2780, 0.0456)
O (0.7124, 0.7103, 0.9492)
O (0.7124, 0.7897, 0.4492)
O (0.7569, 0.0830, 0.2379)
O (0.7569, 0.4170, 0.7379)
O (0.8767, 0.2502, 0.4871)
O (0.8767, 0.2498, 0.9871)
O (0.8790, 0.5819, 0.1338)
O (0.8790, 0.9181, 0.6338)

Main lines, sorted by position (10 to 90 degrees two-theta):
d (Å), two_theta, I_rel
4.773, 18.59, 60
3.965, 22.42, 100
3.885, 22.89, 46
3.375, 26.41, 99
3.325, 26.82, 62
3.309, 26.95, 80
3.293, 27.08, 37
3.262, 27.34, 47
3.218, 27.72, 85
2.398, 37.50, 31



Starting from a GGA+U-relaxed structure, the powder XRD pattern of Li2MnP2O7 was computed for CuKα.
Kinematic intensities with the Lorentz-polarization factor, no thermal factor.

Cell and atoms:
a = 5.1055 Å, b = 8.5474 Å, c = 7.2534 Å
α = 90.00°, β = 109.88°, γ = 90.00°
Fractional coordinates of all 24 atoms:
Li (0.1475, 0.0000, 0.4110)
Li (0.3148, 0.3263, 0.8500)
Li (0.6852, 0.8263, 0.1500)
Li (0.8525, 0.5000, 0.5890)
Mn (0.3115, 0.6864, 0.7772)
Mn (0.6885, 0.1864, 0.2228)
P (0.1117, 0.9922, 0.9789)
P (0.2811, 0.3837, 0.4175)
P (0.7189, 0.8837, 0.5825)
P (0.8883, 0.4922, 0.0211)
O (0.0591, 0.4869, 0.8829)
O (0.1058, 0.5017, 0.2447)
O (0.1242, 0.2289, 0.3994)
O (0.2853, 0.1418, 0.0027)
O (0.2872, 0.4701, 0.6054)
O (0.2891, 0.8452, 0.9964)
O (0.4273, 0.8650, 0.5958)
O (0.5727, 0.3650, 0.4042)
O (0.7109, 0.3452, 0.0036)
O (0.7128, 0.9701, 0.3946)
O (0.7147, 0.6418, 0.9973)
O (0.8758, 0.7289, 0.6006)
O (0.8942, 0.0017, 0.7553)
O (0.9409, 0.9869, 0.1171)

Main lines, sorted by position (10 to 90 degrees two-theta):
d (Å), two_theta, I_rel
5.331, 16.63, 100
4.160, 21.36, 41
3.622, 24.58, 16
3.416, 26.08, 19
3.192, 27.95, 19
3.178, 28.08, 76
3.139, 28.44, 38
2.666, 33.62, 19
2.177, 41.48, 11
1.952, 46.53, 11



Starting from a GGA+U-relaxed structure, the powder XRD pattern of Li3Fe8B8O24 was computed for CuKα.
Kinematic intensities with the Lorentz-polarization factor, no thermal factor.

Cell and atoms:
a = 5.2940 Å, b = 9.1023 Å, c = 11.3665 Å
α = 66.88°, β = 76.61°, γ = 89.76°
Fractional coordinates of all 43 atoms:
Li (0.0000, 0.0000, 0.0000)
Li (0.2386, 0.2680, 0.5026)
Li (0.7370, 0.7664, 0.5062)
Fe (0.1554, 0.1926, 0.2873)
Fe (0.2114, 0.5839, 0.5400)
Fe (0.4170, 0.7782, 0.7845)
Fe (0.4666, 0.1538, 0.0394)
Fe (0.6505, 0.6922, 0.2883)
Fe (0.7127, 0.0823, 0.5415)
Fe (0.9064, 0.2859, 0.7848)
Fe (0.9654, 0.6466, 0.0348)
B (0.1562, 0.5310, 0.2888)
B (0.2090, 0.9108, 0.5380)
B (0.4160, 0.4457, 0.7850)
B (0.4514, 0.8180, 0.0361)
B (0.6591, 0.0286, 0.2941)
B (0.7098, 0.4086, 0.5370)
B (0.9091, 0.9396, 0.7951)
B (0.9633, 0.3172, 0.0376)
O (0.0369, 0.7990, 0.8361)
O (0.0744, 0.7873, 0.5334)
O (0.1261, 0.0659, 0.4959)
O (0.1719, 0.2742, 0.0952)
O (0.1916, 0.4430, 0.7418)
O (0.2283, 0.3805, 0.3134)
O (0.2832, 0.6318, 0.3268)
O (0.3310, 0.9485, 0.0363)
O (0.3504, 0.7098, 0.9935)
O (0.4382, 0.8868, 0.5841)
O (0.4468, 0.0792, 0.2439)
O (0.5213, 0.5852, 0.7794)
O (0.5371, 0.3053, 0.8282)
O (0.5707, 0.2849, 0.5363)
O (0.6301, 0.5656, 0.4889)
O (0.6893, 0.7860, 0.0785)
O (0.6960, 0.9393, 0.7449)
O (0.7431, 0.8807, 0.3069)
O (0.7877, 0.1241, 0.3356)
O (0.8554, 0.4566, 0.0280)
O (0.8740, 0.2117, 0.9891)
O (0.9389, 0.3861, 0.5831)
O (0.9472, 0.5848, 0.2311)
O (0.9941, 0.0718, 0.8095)

Main lines, sorted by position (10 to 90 degrees two-theta):
d (Å), two_theta, I_rel
4.576, 19.40, 38
4.551, 19.51, 63
4.165, 21.33, 100
3.411, 26.12, 28
3.395, 26.25, 22
3.386, 26.32, 51
2.637, 34.00, 29
2.628, 34.12, 24
2.530, 35.47, 71
2.349, 38.32, 24



Starting from a GGA+U-relaxed structure, the powder XRD pattern of PrCr2O2 was computed for CuKα.
Kinematic intensities with the Lorentz-polarization factor, no thermal factor.

Cell and atoms:
a = 11.7043 Å, b = 11.7043 Å, c = 11.7043 Å
α = 91.77°, β = 91.77°, γ = 159.77°
Fractional coordinates of all 20 atoms:
Pr (0.0000, 0.0000, 0.0000)
Pr (0.0000, 0.0000, 0.5000)
Pr (0.0000, 0.5000, 0.0000)
Pr (0.5000, 0.0000, 0.5000)
Cr (0.0480, 0.3970, 0.6510)
Cr (0.2459, 0.3970, 0.8490)
Cr (0.3970, 0.0480, 0.1510)
Cr (0.3970, 0.2459, 0.3490)
Cr (0.6030, 0.7541, 0.6510)
Cr (0.6030, 0.9520, 0.8490)
Cr (0.7541, 0.6030, 0.1510)
Cr (0.9520, 0.6030, 0.3490)
O (0.1060, 0.2504, 0.6444)
O (0.1060, 0.4615, 0.8556)
O (0.2504, 0.1060, 0.1444)
O (0.4615, 0.1060, 0.3556)
O (0.5385, 0.8940, 0.6444)
O (0.7496, 0.8940, 0.8556)
O (0.8940, 0.5385, 0.1444)
O (0.8940, 0.7496, 0.3556)

Main lines, sorted by position (10 to 90 degrees two-theta):
d (Å), two_theta, I_rel
8.147, 10.86, 100
5.761, 15.38, 45
4.074, 21.82, 52
3.581, 24.86, 25
3.042, 29.37, 31
2.849, 31.39, 43
2.576, 34.82, 40
2.554, 35.14, 20
2.437, 36.88, 24
2.037, 44.48, 18



Starting from a GGA+U-relaxed structure, the powder XRD pattern of Li3CoSiBO7 was computed for CuKα.
Kinematic intensities with the Lorentz-polarization factor, no thermal factor.

Cell and atoms:
a = 5.0257 Å, b = 6.2318 Å, c = 16.8182 Å
α = 90.00°, β = 94.37°, γ = 90.00°
Fractional coordinates of all 52 atoms:
Li (0.0000, 0.0000, 0.0000)
Li (0.0088, 0.2526, 0.3192)
Li (0.0093, 0.2543, 0.8218)
Li (0.0093, 0.7457, 0.8218)
Li (0.0088, 0.7474, 0.3192)
Li (0.5039, 0.2441, 0.5687)
Li (0.5036, 0.2490, 0.0706)
Li (0.5036, 0.7510, 0.0706)
Li (0.5039, 0.7559, 0.5687)
Li (0.5134, 0.5000, 0.3918)
Li (0.5249, 0.5000, 0.8931)
Li (0.9876, 0.0000, 0.4962)
Co (0.5564, 0.0000, 0.2867)
Co (0.5648, 0.0000, 0.7826)
Co (0.9479, 0.5000, 0.6079)
Co (0.9567, 0.5000, 0.1066)
Si (0.0340, 0.0000, 0.6585)
Si (0.0362, 0.0000, 0.1608)
Si (0.4785, 0.5000, 0.2324)
Si (0.4793, 0.5000, 0.7317)
B (0.0234, 0.5000, 0.4649)
B (0.0411, 0.5000, 0.9660)
B (0.4639, 0.0000, 0.4225)
B (0.4907, 0.0000, 0.9261)
O (0.1192, 0.5000, 0.3922)
O (0.1270, 0.5000, 0.8920)
O (0.1533, 0.5000, 0.2138)
O (0.1567, 0.5000, 0.7137)
O (0.2070, 0.5000, 0.5344)
O (0.2283, 0.5000, 0.0334)
O (0.2800, 0.0000, 0.3551)
O (0.3071, 0.0000, 0.8566)
O (0.3567, 0.0000, 0.6764)
O (0.3622, 0.0000, 0.1821)
O (0.3894, 0.0000, 0.4975)
O (0.3950, 0.0000, 0.9990)
O (0.5777, 0.3021, 0.2938)
O (0.5777, 0.6979, 0.2938)
O (0.5912, 0.3065, 0.7924)
O (0.5912, 0.6935, 0.7924)
O (0.6099, 0.5000, 0.6450)
O (0.6135, 0.5000, 0.1472)
O (0.7217, 0.0000, 0.3974)
O (0.7506, 0.0000, 0.9070)
O (0.7634, 0.5000, 0.4841)
O (0.7820, 0.5000, 0.9875)
O (0.8926, 0.0000, 0.2441)
O (0.9038, 0.0000, 0.7454)
O (0.9223, 0.1933, 0.5977)
O (0.9223, 0.8067, 0.5977)
O (0.9404, 0.1961, 0.0987)
O (0.9404, 0.8039, 0.0987)

Main lines, sorted by position (10 to 90 degrees two-theta):
d (Å), two_theta, I_rel
8.385, 10.55, 97
5.002, 17.73, 74
4.453, 19.94, 49
4.164, 21.34, 63
3.462, 25.73, 26
3.343, 26.66, 43
3.116, 28.65, 100
2.504, 35.86, 24
2.452, 36.64, 27
2.211, 40.80, 25



Starting from a GGA+U-relaxed structure, the powder XRD pattern of Li3AlFe2O6 was computed for CuKα.
Kinematic intensities with the Lorentz-polarization factor, no thermal factor.

Cell and atoms:
a = 5.3921 Å, b = 5.8889 Å, c = 7.9611 Å
α = 90.54°, β = 98.25°, γ = 90.39°
Fractional coordinates of all 24 atoms:
Li (0.0087, 0.1680, 0.2438)
Li (0.1503, 0.6619, 0.0739)
Li (0.3298, 0.8418, 0.4092)
Li (0.6702, 0.1582, 0.5908)
Li (0.8497, 0.3381, 0.9261)
Li (0.9913, 0.8320, 0.7562)
Al (0.4980, 0.3315, 0.2504)
Al (0.5020, 0.6685, 0.7496)
Fe (0.1596, 0.3232, 0.5704)
Fe (0.3250, 0.1721, 0.9110)
Fe (0.6750, 0.8279, 0.0890)
Fe (0.8404, 0.6768, 0.4296)
O (0.0151, 0.1696, 0.7459)
O (0.1753, 0.6572, 0.5889)
O (0.1990, 0.3302, 0.0885)
O (0.3473, 0.1884, 0.4084)
O (0.3534, 0.8358, 0.9052)
O (0.4823, 0.3566, 0.7514)
O (0.5177, 0.6434, 0.2486)
O (0.6466, 0.1642, 0.0948)
O (0.6527, 0.8116, 0.5916)
O (0.8010, 0.6698, 0.9115)
O (0.8247, 0.3428, 0.4111)
O (0.9849, 0.8304, 0.2541)

Main lines, sorted by position (10 to 90 degrees two-theta):
d (Å), two_theta, I_rel
4.745, 18.70, 98
4.693, 18.91, 43
3.970, 22.39, 40
3.938, 22.58, 69
2.957, 30.22, 50
2.946, 30.34, 100
2.503, 35.88, 28
2.075, 43.62, 64
1.705, 53.75, 77
1.699, 53.98, 45